1.
Structure and simulated powder X-ray diffraction pattern of KHfMoO6 (a cell relaxed with PBE+U; Cu Kα (weighted mean of Kα1 and Kα2)).
Kinematic intensities with the Lorentz-polarization factor, no thermal factor.

Main lines, sorted by position (2θ = 15–90°):
2theta  d/Å  I_rel
15.4  5.747  100.0
18.3  4.849  24.9
18.5  4.796  23.0
23.8  3.737  33.3
24.0  3.706  48.8
24.5  3.629  29.8
32.1  2.789  30.6
32.5  2.759  17.1
35.5  2.526  28.9
44.9  2.019  24.5

Structure:
Lattice parameters (Å, degrees): 5.5800 5.5800 5.7503 90.97 90.97 120.70
Atoms (fractional coordinates):
K  0.0000  0.0000  0.0000
Hf  0.6821  0.3179  0.5000
Mo  0.3206  0.6794  0.5000
O  0.0124  0.4040  0.3021
O  0.0314  0.6120  0.7011
O  0.3880  0.9686  0.2989
O  0.4050  0.4146  0.6657
O  0.5854  0.5950  0.3343
O  0.5960  0.9876  0.6979

---

2.
Structure and simulated powder X-ray diffraction pattern of Li2Mn3GaO8 (a cell relaxed with PBE+U; Cu Kα (weighted mean of Kα1 and Kα2)).
Kinematic intensities with the Lorentz-polarization factor, no thermal factor.

Main lines, sorted by position (2θ = 15–90°):
2theta  d/Å  I_rel
18.3  4.861  100.0
18.5  4.807  75.5
35.2  2.548  25.7
35.5  2.525  31.4
35.9  2.502  19.8
42.9  2.107  64.5
43.9  2.065  30.5
56.6  1.626  13.0
62.9  1.477  28.5
63.1  1.473  18.7

Structure:
Lattice parameters (Å, degrees): 5.9074 5.9074 10.1401 106.12 106.12 61.18
Atoms (fractional coordinates):
Li  0.0550  0.5593  0.6802
Li  0.4407  0.9450  0.8198
Li  0.5593  0.0550  0.1802
Li  0.9450  0.4407  0.3198
Mn  0.0000  0.0000  0.0000
Mn  0.0000  0.0000  0.5000
Mn  0.0000  0.5000  0.0000
Mn  0.5000  0.0000  0.5000
Mn  0.5000  0.5000  0.0000
Mn  0.5000  0.5000  0.5000
Ga  0.2508  0.7492  0.2500
Ga  0.7492  0.2508  0.7500
O  0.0914  0.1527  0.8853
O  0.1497  0.5956  0.8887
O  0.1517  0.6431  0.3884
O  0.1527  0.0914  0.3853
O  0.3513  0.4045  0.1148
O  0.3569  0.8483  0.1116
O  0.4044  0.8503  0.6113
O  0.4045  0.3513  0.6148
O  0.5955  0.6487  0.3852
O  0.5956  0.1497  0.3887
O  0.6431  0.1517  0.8884
O  0.6487  0.5955  0.8852
O  0.8473  0.9086  0.6147
O  0.8483  0.3569  0.6116
O  0.8503  0.4044  0.1113
O  0.9086  0.8473  0.1147